Starting from the PBE geometry in Alexandria, the powder diffraction line list of Zn4Ag8Bi was calculated for Cu Kα (weighted mean of Kα1 and Kα2).

Peak list (12 most intense, 2θ from 10° to 80°, sorted by position)
| 2theta | intensity | hkl |
| --- | --- | --- |
| 27.09 | 14.6 | 2 1 1 |
| 33.18 | 47.5 | 3 0 1 |
| 34.10 | 24.7 | 0 0 2 |
| 38.13 | 45.0 | 4 0 0 |
| 38.41 | 100.0 | 3 2 1 |
| 39.23 | 44.7 | 2 0 2 |
| 42.84 | 11.1 | 4 2 0 |
| 43.09 | 14.2 | 4 1 1 |
| 43.84 | 27.8 | 2 2 2 |
| 63.92 | 21.5 | 3 2 3 |
| 69.10 | 23.1 | 6 3 1 |
| 69.65 | 18.8 | 6 0 2 |

```
data_Zn4Ag8Bi
_chemical_formula_sum 'Zn8 Ag16 Bi2'
_symmetry_space_group_name_H-M 'I 4/m m m'
_symmetry_Int_Tables_number 139
_symmetry_space_group_name_Hall '-I 4 2'
_cell_length_a 9.440
_cell_length_b 9.440
_cell_length_c 5.258
_cell_angle_alpha 90.00
_cell_angle_beta 90.00
_cell_angle_gamma 90.00
loop_
_atom_site_label
_atom_site_fract_x
_atom_site_fract_y
_atom_site_fract_z
Zn1 0.250 0.250 0.250
Ag1 0.000 0.218 0.000
Ag2 0.000 0.351 0.500
Bi1 0.000 0.000 0.500
```